Entry 1:
This entry pairs a crystal structure of Ca3AsO5 with its calculated XRD peak list. Radiation: Cu Kα (λ = 1.5418 Å). Structure: a crystal structure in Alexandria, relaxed with PBE.
Lines closer than 0.1° are merged.

Structure:
Cell: 7.378 7.378 7.378 Å, 126.94 126.94 78.35°
Sites, in units of the cell vectors:
1 Ca 0.183 0.683 0.865
2 Ca 0.250 0.250 0.000
3 Ca 0.317 0.183 0.500
4 Ca 0.683 0.817 0.500
5 Ca 0.750 0.750 0.000
6 Ca 0.817 0.317 0.135
7 As 0.250 0.750 0.500
8 As 0.750 0.250 0.500
9 O 0.000 0.000 0.000
10 O 0.004 0.202 0.500
11 O 0.202 0.702 0.198
12 O 0.298 0.496 0.500
13 O 0.496 0.996 0.198
14 O 0.500 0.500 0.000
15 O 0.504 0.004 0.802
16 O 0.702 0.504 0.500
17 O 0.798 0.298 0.802
18 O 0.996 0.798 0.500

Top 10 peaks for 5° ≤ 2θ ≤ 70°, in order of rising 2θ:
Position (°2θ)  I (rel.)
19.04  17
24.64  11
31.32  100
38.62  67
41.84  20
46.37  12
50.52  29
55.71  19
63.06  18
65.38  16

=====

Entry 2:
This entry pairs a crystal structure of Rb3CaAs2O8 with its calculated XRD peak list. Radiation: Cu Kα (λ = 1.5418 Å). Structure: a crystal structure in Alexandria, relaxed with PBE.
Lines closer than 0.1° are merged.

Structure:
Cell: 6.102 6.102 8.032 Å, 90.00 90.00 120.00°
Sites, in units of the cell vectors:
1 Rb 0.000 0.000 0.000
2 Rb 0.333 0.667 0.697
3 Rb 0.667 0.333 0.303
4 Ca 0.000 0.000 0.500
5 As 0.333 0.667 0.255
6 As 0.667 0.333 0.745
7 O 0.179 0.359 0.326
8 O 0.179 0.821 0.326
9 O 0.333 0.667 0.041
10 O 0.359 0.179 0.674
11 O 0.641 0.821 0.326
12 O 0.667 0.333 0.959
13 O 0.821 0.179 0.674
14 O 0.821 0.641 0.674

Top 10 peaks for 5° ≤ 2θ ≤ 70°, in order of rising 2θ:
Position (°2θ)  I (rel.)
22.14  12
27.90  75
29.27  100
33.47  12
40.89  41
51.08  26
51.91  19
54.73  19
60.71  18
68.11  12

=====

Entry 3:
This entry pairs a crystal structure of CaAsRuO5 with its calculated XRD peak list. Radiation: Cu Kα (λ = 1.5418 Å). Structure: a crystal structure in Alexandria, relaxed with PBE.
Lines closer than 0.1° are merged.

Structure:
Cell: 5.673 5.673 7.247 Å, 104.22 104.22 106.02°
Sites, in units of the cell vectors:
1 Ca 0.172 0.828 0.750
2 Ca 0.828 0.172 0.250
3 As 0.183 0.817 0.250
4 As 0.817 0.183 0.750
5 Ru 0.500 0.500 0.000
6 Ru 0.500 0.500 0.500
7 O 0.114 0.240 0.929
8 O 0.169 0.595 0.380
9 O 0.240 0.114 0.429
10 O 0.405 0.831 0.120
11 O 0.421 0.579 0.750
12 O 0.579 0.421 0.250
13 O 0.595 0.169 0.880
14 O 0.760 0.886 0.571
15 O 0.831 0.405 0.620
16 O 0.886 0.760 0.071

Top 10 peaks for 5° ≤ 2θ ≤ 70°, in order of rising 2θ:
Position (°2θ)  I (rel.)
17.27  39
26.70  100
28.65  81
32.95  97
33.54  71
42.04  29
50.84  30
51.91  24
53.54  32
63.12  28

=====

Entry 4:
This entry pairs a crystal structure of Ca4SbAsO with its calculated XRD peak list. Radiation: Cu Kα (λ = 1.5418 Å). Structure: a crystal structure in Alexandria, relaxed with PBE.
Lines closer than 0.1° are merged.

Structure:
Cell: 8.748 8.748 8.748 Å, 149.36 149.36 43.88°
Sites, in units of the cell vectors:
1 Ca 0.000 0.000 0.000
2 Ca 0.188 0.688 0.500
3 Ca 0.347 0.347 0.000
4 Ca 0.688 0.188 0.500
5 Sb 0.543 0.543 0.000
6 As 0.818 0.818 0.000
7 O 0.201 0.201 0.000

Top 10 peaks for 5° ≤ 2θ ≤ 70°, in order of rising 2θ:
Position (°2θ)  I (rel.)
19.97  31
25.34  34
27.28  56
29.46  46
33.12  26
33.74  32
35.26  100
38.97  67
52.05  26
68.19  27

=====

Entry 5:
This entry pairs a crystal structure of CaTcAs2O8 with its calculated XRD peak list. Radiation: Cu Kα (λ = 1.5418 Å). Structure: a crystal structure in Alexandria, relaxed with PBE.
Lines closer than 0.1° are merged.

Structure:
Cell: 5.472 5.472 6.708 Å, 90.00 90.00 120.00°
Sites, in units of the cell vectors:
1 Ca 0.000 0.000 0.000
2 Tc 0.000 0.000 0.500
3 As 0.333 0.667 0.224
4 As 0.667 0.333 0.776
5 O 0.159 0.319 0.302
6 O 0.159 0.841 0.302
7 O 0.319 0.159 0.698
8 O 0.333 0.667 0.975
9 O 0.667 0.333 0.025
10 O 0.681 0.841 0.302
11 O 0.841 0.159 0.698
12 O 0.841 0.681 0.698

Top 10 peaks for 5° ≤ 2θ ≤ 70°, in order of rising 2θ:
Position (°2θ)  I (rel.)
18.72  13
22.98  100
32.72  96
44.82  11
46.95  27
52.90  25
58.41  30
65.26  13
66.93  6
68.58  14

=====

Entry 6:
This entry pairs a crystal structure of Ca2TlAsO6 with its calculated XRD peak list. Radiation: Cu Kα (λ = 1.5418 Å). Structure: a crystal structure in Alexandria, relaxed with PBE.
Lines closer than 0.1° are merged.

Structure:
Cell: 5.343 5.343 5.121 Å, 90.00 90.00 90.00°
Sites, in units of the cell vectors:
1 Ca 0.000 0.500 0.000
2 Ca 0.500 0.000 0.000
3 Tl 0.000 0.000 0.537
4 As 0.500 0.500 0.608
5 O 0.000 0.000 0.130
6 O 0.271 0.271 0.727
7 O 0.271 0.729 0.727
8 O 0.500 0.500 0.269
9 O 0.729 0.271 0.727
10 O 0.729 0.729 0.727

Top 10 peaks for 5° ≤ 2θ ≤ 70°, in order of rising 2θ:
Position (°2θ)  I (rel.)
16.59  20
17.32  36
23.55  39
24.07  20
29.38  100
33.54  34
39.01  14
48.17  22
49.29  26
57.43  30